This entry pairs a crystal structure of MgCu3Se with its simulated powder diffraction line list. Radiation: λ = 1.5418 Å (Cu Kα). Structure: a DFT-relaxed cell (PBE, Alexandria).

Structure:
a = 6.2785 Å, b = 6.2785 Å, c = 6.2785 Å
α = 145.27°, β = 145.27°, γ = 49.93°
Fractional coordinates of all 5 atoms:
Mg  0.0000  0.0000  0.0000
Cu  0.1995  0.6995  0.5000
Cu  0.5584  0.5584  0.0000
Cu  0.6995  0.1995  0.5000
Se  0.3509  0.3509  0.0000

Top 10 peaks for 2θ = 10–90°, low angle first:
| d_spacing | I (rel.) |
| --- | --- |
| 5.692 | 330 |
| 3.559 | 654 |
| 2.666 | 207 |
| 2.402 | 1000 |
| 1.946 | 309 |
| 1.939 | 856 |
| 1.897 | 194 |
| 1.874 | 567 |
| 1.333 | 225 |
| 1.094 | 244 |